No. 1
# La3Pr3Nd4
Theoretical powder diffraction line list, Cu Ka. Input: a PBE-relaxed structure.
Peak positions follow from Bragg's law for the DFT cell and can differ from measured ones.

The 8 most intense peaks (2θ = 15–90°), in order of falling intensity:
2θ/deg	d [Å]	intensity
31.0	2.889	100
28.7	3.110	62
29.6	3.022	28
56.4	1.631	18
53.2	1.723	16
32.8	2.728	13
25.6	3.478	12
44.8	2.025	12

Cell and atoms:
```
La3Pr3Nd4
1.0
3.830 0.000 0.000
0.000 6.966 6.944
0.000 -6.966 6.944
La Pr Nd
3 3 4
Direct
0.000 0.000 0.000
0.500 0.174 0.671
0.500 0.671 0.174
0.000 0.345 0.345
0.000 0.500 0.845
0.000 0.845 0.500
0.500 0.046 0.300
0.500 0.300 0.046
0.500 0.546 0.546
0.500 0.799 0.799
```

=====

No. 2
# La2Pr9Nd3
Theoretical powder diffraction line list, Cu Ka. Input: a PBE-relaxed structure.
Peak positions follow from Bragg's law for the DFT cell and can differ from measured ones.

The 8 most intense peaks (2θ = 15–90°), in order of falling intensity:
2θ/deg	d [Å]	intensity
31.9	2.803	100
29.8	2.995	77
29.4	3.042	40
51.6	1.771	37
25.8	3.448	25
35.2	2.552	23
32.2	2.777	23
34.3	2.612	22

Cell and atoms:
```
La2Pr9Nd3
1.0
9.372 0.000 0.000
-4.686 8.116 0.000
0.000 0.000 13.793
La Pr Nd
4 18 6
Direct
0.333 0.667 0.137
0.333 0.667 0.363
0.667 0.333 0.637
0.667 0.333 0.863
0.082 0.480 0.750
0.124 0.723 0.538
0.124 0.723 0.962
0.277 0.402 0.538
0.277 0.402 0.962
0.398 0.918 0.750
0.402 0.124 0.038
0.402 0.124 0.462
0.480 0.398 0.250
0.520 0.602 0.750
0.598 0.876 0.538
0.598 0.876 0.962
0.602 0.082 0.250
0.723 0.598 0.038
0.723 0.598 0.462
0.876 0.277 0.038
0.876 0.277 0.462
0.918 0.520 0.250
0.081 0.248 0.250
0.167 0.919 0.250
0.248 0.167 0.750
0.752 0.833 0.250
0.833 0.081 0.750
0.919 0.752 0.750
```

=====

No. 3
# La2Pr5Nd6
Theoretical powder diffraction line list, Cu Ka. Input: a PBE-relaxed structure.
Peak positions follow from Bragg's law for the DFT cell and can differ from measured ones.

The 8 most intense peaks (2θ = 15–90°), in order of falling intensity:
2θ/deg	d [Å]	intensity
30.4	2.941	100
31.0	2.881	80
30.0	2.983	59
33.0	2.711	40
33.8	2.654	26
35.3	2.541	25
58.7	1.573	21
28.2	3.162	20

Cell and atoms:
```
La2Pr5Nd6
1.0
12.054 0.000 0.000
0.000 21.210 0.000
0.000 0.000 3.703
La Pr Nd
4 10 12
Direct
0.178 0.221 0.000
0.322 0.721 0.000
0.678 0.279 0.000
0.822 0.779 0.000
0.000 0.500 0.500
0.081 0.783 0.500
0.200 0.058 0.500
0.300 0.558 0.500
0.419 0.283 0.500
0.500 0.000 0.500
0.581 0.717 0.500
0.700 0.442 0.500
0.800 0.942 0.500
0.919 0.217 0.500
0.064 0.926 0.000
0.073 0.638 0.000
0.183 0.374 0.500
0.317 0.874 0.500
0.427 0.138 0.000
0.436 0.426 0.000
0.564 0.574 0.000
0.573 0.862 0.000
0.683 0.126 0.500
0.817 0.626 0.500
0.927 0.362 0.000
0.936 0.074 0.000
```

=====

No. 4
# La5PrNd8
Theoretical powder diffraction line list, Cu Ka. Input: a PBE-relaxed structure.
Peak positions follow from Bragg's law for the DFT cell and can differ from measured ones.

The 8 most intense peaks (2θ = 15–90°), in order of falling intensity:
2θ/deg	d [Å]	intensity
32.6	2.744	100
28.7	3.107	82
28.5	3.128	69
27.0	3.308	64
34.0	2.638	52
33.5	2.676	45
30.8	2.900	27
60.6	1.529	21

Cell and atoms:
```
La5PrNd8
1.0
-4.913 4.913 5.269
4.913 -4.913 5.269
4.913 4.913 -5.269
La Pr Nd
5 1 8
Direct
0.000 0.000 0.000
0.319 0.214 0.680
0.360 0.681 0.895
0.534 0.640 0.320
0.786 0.466 0.105
0.750 0.250 0.500
0.032 0.782 0.602
0.060 0.318 0.894
0.180 0.431 0.398
0.218 0.820 0.251
0.424 0.166 0.106
0.569 0.968 0.749
0.682 0.576 0.742
0.834 0.940 0.258
```

=====

No. 5
# LaPrNd5
Theoretical powder diffraction line list, Cu Ka. Input: a PBE-relaxed structure.
Peak positions follow from Bragg's law for the DFT cell and can differ from measured ones.

The 8 most intense peaks (2θ = 15–90°), in order of falling intensity:
2θ/deg	d [Å]	intensity
30.4	2.939	100
29.6	3.015	97
29.1	3.069	79
30.2	2.962	70
32.3	2.769	46
34.1	2.630	40
44.7	2.027	34
29.4	3.035	32

Cell and atoms:
```
LaPrNd5
1.0
6.086 -3.511 0.000
6.086 3.511 0.000
-4.605 0.000 11.754
La Pr Nd
2 2 10
Direct
0.031 0.969 0.750
0.969 0.031 0.250
0.000 0.500 0.000
0.500 0.000 0.500
0.151 0.407 0.748
0.197 0.651 0.501
0.349 0.803 0.999
0.407 0.151 0.248
0.409 0.591 0.250
0.591 0.409 0.750
0.593 0.849 0.752
0.651 0.197 0.001
0.803 0.349 0.499
0.849 0.593 0.252
```

=====

No. 6
# La2Pr6Nd5
Theoretical powder diffraction line list, Cu Ka. Input: a PBE-relaxed structure.
Peak positions follow from Bragg's law for the DFT cell and can differ from measured ones.

The 8 most intense peaks (2θ = 15–90°), in order of falling intensity:
2θ/deg	d [Å]	intensity
31.0	2.886	100
30.5	2.935	70
29.9	2.990	68
30.3	2.947	50
33.0	2.715	45
35.3	2.545	30
33.8	2.655	29
49.1	1.856	23

Cell and atoms:
```
La2Pr6Nd5
1.0
12.082 0.000 0.000
0.000 21.182 0.000
0.000 0.000 3.711
La Pr Nd
4 12 10
Direct
0.174 0.219 0.000
0.326 0.719 0.000
0.674 0.281 0.000
0.826 0.781 0.000
0.062 0.925 0.000
0.076 0.636 0.000
0.181 0.373 0.500
0.319 0.873 0.500
0.424 0.136 0.000
0.438 0.425 0.000
0.562 0.575 0.000
0.576 0.864 0.000
0.681 0.127 0.500
0.819 0.627 0.500
0.924 0.364 0.000
0.938 0.075 0.000
0.000 0.500 0.500
0.084 0.780 0.500
0.200 0.057 0.500
0.300 0.557 0.500
0.416 0.280 0.500
0.500 0.000 0.500
0.584 0.720 0.500
0.700 0.443 0.500
0.800 0.943 0.500
0.916 0.220 0.500
```

=====

No. 7
# La5PrNd
Theoretical powder diffraction line list, Cu Ka. Input: a PBE-relaxed structure.
Peak positions follow from Bragg's law for the DFT cell and can differ from measured ones.

The 8 most intense peaks (2θ = 15–90°), in order of falling intensity:
2θ/deg	d [Å]	intensity
30.2	2.963	100
29.4	3.037	62
28.8	3.104	48
32.2	2.779	27
33.7	2.658	22
29.2	3.055	20
25.3	3.527	19
31.6	2.830	17

Cell and atoms:
```
La5PrNd
1.0
6.108 -3.536 0.000
6.108 3.536 0.000
-4.809 0.000 11.861
La Pr Nd
10 2 2
Direct
0.089 0.911 0.750
0.094 0.350 0.756
0.154 0.694 0.000
0.306 0.846 0.500
0.350 0.094 0.256
0.650 0.906 0.744
0.694 0.154 0.500
0.846 0.306 0.000
0.906 0.650 0.244
0.911 0.089 0.250
0.000 0.500 0.500
0.500 0.000 0.000
0.468 0.532 0.250
0.532 0.468 0.750
```

=====

No. 8
# La4PrNd6
Theoretical powder diffraction line list, Cu Ka. Input: a PBE-relaxed structure.
Peak positions follow from Bragg's law for the DFT cell and can differ from measured ones.

The 8 most intense peaks (2θ = 15–90°), in order of falling intensity:
2θ/deg	d [Å]	intensity
31.9	2.807	100
30.5	2.931	99
34.5	2.598	44
27.5	3.242	33
60.2	1.537	32
49.6	1.837	32
29.0	3.074	30
44.7	2.027	20

Cell and atoms:
```
La4PrNd6
1.0
11.229 0.000 0.000
-5.615 9.725 0.000
0.000 0.000 3.674
La Pr Nd
4 1 6
Direct
0.000 0.000 0.000
0.508 0.017 0.500
0.508 0.492 0.500
0.983 0.492 0.500
0.667 0.333 0.000
0.198 0.397 0.000
0.198 0.802 0.000
0.296 0.148 0.500
0.603 0.802 0.000
0.852 0.148 0.500
0.852 0.704 0.500
```

=====

No. 9
# La7Pr12Nd
Theoretical powder diffraction line list, Cu Ka. Input: a PBE-relaxed structure.
Peak positions follow from Bragg's law for the DFT cell and can differ from measured ones.

The 8 most intense peaks (2θ = 15–90°), in order of falling intensity:
2θ/deg	d [Å]	intensity
30.4	2.943	100
30.0	2.976	41
28.6	3.123	31
32.7	2.737	26
54.2	1.693	18
33.0	2.711	18
47.9	1.900	17
55.0	1.668	17

Cell and atoms:
```
La7Pr12Nd
1.0
6.978 4.028 4.311
-6.978 4.028 4.311
0.000 -8.057 4.311
La Pr Nd
7 12 1
Direct
0.000 0.000 0.000
0.157 0.591 0.591
0.409 0.409 0.843
0.409 0.843 0.409
0.591 0.157 0.591
0.591 0.591 0.157
0.843 0.409 0.409
0.000 0.258 0.742
0.000 0.742 0.258
0.147 0.147 0.412
0.147 0.412 0.147
0.258 0.000 0.742
0.258 0.742 0.000
0.412 0.147 0.147
0.588 0.853 0.853
0.742 0.000 0.258
0.742 0.258 0.000
0.853 0.588 0.853
0.853 0.853 0.588
0.500 0.500 0.500
```

=====

No. 10
# La7Pr3Nd
Theoretical powder diffraction line list, Cu Ka. Input: a PBE-relaxed structure.
Peak positions follow from Bragg's law for the DFT cell and can differ from measured ones.

The 8 most intense peaks (2θ = 15–90°), in order of falling intensity:
2θ/deg	d [Å]	intensity
29.7	3.008	100
34.6	2.592	66
30.3	2.950	31
59.0	1.565	28
49.4	1.846	24
50.1	1.820	23
58.7	1.573	14
59.7	1.549	13

Cell and atoms:
```
La7Pr3Nd
1.0
7.385 0.000 0.000
-3.692 6.396 0.000
0.000 0.000 8.851
La Pr Nd
7 3 1
Direct
0.000 0.000 0.000
0.002 0.501 0.016
0.168 0.335 0.671
0.168 0.832 0.671
0.499 0.501 0.016
0.499 0.998 0.016
0.665 0.832 0.671
0.333 0.167 0.343
0.833 0.167 0.343
0.833 0.667 0.343
0.667 0.333 0.685
```

=====

No. 11
# La6PrNd4
Theoretical powder diffraction line list, Cu Ka. Input: a PBE-relaxed structure.
Peak positions follow from Bragg's law for the DFT cell and can differ from measured ones.

The 8 most intense peaks (2θ = 15–90°), in order of falling intensity:
2θ/deg	d [Å]	intensity
31.7	2.824	100
30.4	2.941	92
34.4	2.608	43
29.0	3.083	33
60.0	1.542	32
27.4	3.260	28
49.3	1.847	20
44.5	2.037	18

Cell and atoms:
```
La6PrNd4
1.0
11.294 0.000 0.000
-5.647 9.781 0.000
0.000 0.000 3.680
La Pr Nd
6 1 4
Direct
0.185 0.370 0.000
0.185 0.815 0.000
0.532 0.065 0.500
0.532 0.468 0.500
0.630 0.815 0.000
0.935 0.468 0.500
0.000 0.000 0.500
0.320 0.160 0.000
0.333 0.667 0.500
0.840 0.160 0.000
0.840 0.680 0.000
```

=====

No. 12
# La5Pr4Nd
Theoretical powder diffraction line list, Cu Ka. Input: a PBE-relaxed structure.
Peak positions follow from Bragg's law for the DFT cell and can differ from measured ones.

The 8 most intense peaks (2θ = 15–90°), in order of falling intensity:
2θ/deg	d [Å]	intensity
29.6	3.020	100
29.7	3.010	98
30.8	2.900	83
36.3	2.473	73
33.1	2.704	65
26.6	3.349	56
60.3	1.536	52
29.1	3.073	36

Cell and atoms:
```
La5Pr4Nd
1.0
14.614 -1.785 0.000
14.614 1.785 0.000
-0.880 0.000 7.003
La Pr Nd
5 4 1
Direct
0.000 0.000 0.000
0.295 0.295 0.394
0.299 0.299 0.906
0.701 0.701 0.094
0.705 0.705 0.606
0.107 0.107 0.308
0.406 0.406 0.203
0.594 0.594 0.797
0.893 0.893 0.692
0.000 0.000 0.500
```

=====

Please write out number 10 again, unchanged.
# La7Pr3Nd
Theoretical powder diffraction line list, Cu Ka. Input: a PBE-relaxed structure.
Peak positions follow from Bragg's law for the DFT cell and can differ from measured ones.

The 8 most intense peaks (2θ = 15–90°), in order of falling intensity:
2θ/deg	d [Å]	intensity
29.7	3.008	100
34.6	2.592	66
30.3	2.950	31
59.0	1.565	28
49.4	1.846	24
50.1	1.820	23
58.7	1.573	14
59.7	1.549	13

Cell and atoms:
```
La7Pr3Nd
1.0
7.385 0.000 0.000
-3.692 6.396 0.000
0.000 0.000 8.851
La Pr Nd
7 3 1
Direct
0.000 0.000 0.000
0.002 0.501 0.016
0.168 0.335 0.671
0.168 0.832 0.671
0.499 0.501 0.016
0.499 0.998 0.016
0.665 0.832 0.671
0.333 0.167 0.343
0.833 0.167 0.343
0.833 0.667 0.343
0.667 0.333 0.685
```

=====

What is the formula in the first record? La3Pr3Nd4